Simulated powder X-ray diffraction pattern
Compound: Sm5InSb2
Radiation: λ = 1.5418 Å (Cu Kα)
Structure: a crystal structure in Alexandria, relaxed with GGA-PBE
Intensities are scaled so that the largest is 100.

a = 5.6599 Å, b = 9.8591 Å, c = 17.6324 Å
α = 90.00°, β = 90.00°, γ = 90.00°
Space group Cmcm (No. 63)
Asymmetric unit:
Sm 0.0000 0.0850 0.0780 [8 per cell]
Sm 0.0000 0.2634 0.7500 [4 per cell]
Sm 0.0000 0.4070 0.1015 [8 per cell]
In 0.0000 0.0687 0.2500 [4 per cell]
Sb 0.0000 0.2626 0.5720 [8 per cell]

Most intense lines, 10° ≤ 2θ ≤ 90°, by intensity:
31.90 deg, 2.806 Å, I = 100; 31.62 deg, 2.830 Å, I = 69; 30.42 deg, 2.939 Å, I = 63; 35.07 deg, 2.559 Å, I = 51; 44.44 deg, 2.038 Å, I = 45; 40.78 deg, 2.213 Å, I = 42; 48.28 deg, 1.885 Å, I = 28; 74.11 deg, 1.279 Å, I = 23